No. 1
LuNiGe2: simulated powder X-ray diffraction pattern (Cu Kα (λ = 1.5418 Å)), based on the GGA-PBE geometry in the Materials Project.
Lines closer than 0.1° are merged.

Lattice parameters (Å, degrees): 9.1885 9.1885 9.1885 154.06 125.19 61.60
Element x y z (fractional)
Lu 0.2033 0.2033 0.0000
Lu 0.2382 0.0000 0.2382
Lu 0.7618 0.0000 0.7618
Lu 0.7967 0.7967 0.0000
Ni 0.1012 0.3527 0.7485
Ni 0.3958 0.6473 0.7485
Ni 0.6042 0.3527 0.2515
Ni 0.8988 0.6473 0.2515
Ge 0.0771 0.5771 0.5000
Ge 0.1457 0.8033 0.3424
Ge 0.4206 0.4206 0.0000
Ge 0.4608 0.8033 0.6576
Ge 0.5392 0.1967 0.3424
Ge 0.5794 0.5794 0.0000
Ge 0.8543 0.1967 0.6576
Ge 0.9229 0.4229 0.5000

Main lines, by angle (2θ from 5° to 70°):
| 2theta | intensity |
| --- | --- |
| 30.81 | 29 |
| 34.84 | 85 |
| 35.82 | 100 |
| 36.15 | 21 |
| 38.68 | 17 |
| 40.39 | 65 |
| 42.77 | 21 |
| 43.90 | 44 |
| 57.00 | 27 |
| 61.16 | 18 |

---

No. 2
LuNiGe2: simulated powder X-ray diffraction pattern (Cu Kα (λ = 1.5418 Å)), based on the GGA-PBE geometry in the Materials Project.
Lines closer than 0.1° are merged.

Lattice parameters (Å, degrees): 8.6237 8.6237 4.1680 90.00 90.00 153.05
Element x y z (fractional)
Lu 0.1085 0.8915 0.7500
Lu 0.8915 0.1085 0.2500
Ni 0.3234 0.6766 0.7500
Ni 0.6766 0.3234 0.2500
Ge 0.2526 0.7474 0.2500
Ge 0.4596 0.5404 0.7500
Ge 0.5404 0.4596 0.2500
Ge 0.7474 0.2526 0.7500

Main lines, by angle (2θ from 5° to 70°):
| 2theta | intensity |
| --- | --- |
| 31.37 | 16 |
| 34.89 | 100 |
| 38.79 | 20 |
| 43.42 | 20 |
| 45.11 | 18 |
| 48.61 | 11 |
| 54.25 | 10 |
| 56.83 | 14 |
| 60.98 | 10 |
| 64.40 | 12 |

---

No. 3
LuNi2Ge2: simulated powder X-ray diffraction pattern (Cu Kα (λ = 1.5418 Å)), based on the GGA-PBE geometry in the Materials Project.
Lines closer than 0.1° are merged.

Lattice parameters (Å, degrees): 5.6479 5.6479 5.6479 138.29 138.29 60.46
Element x y z (fractional)
Lu 0.0000 0.0000 0.0000
Ni 0.2500 0.7500 0.5000
Ni 0.7500 0.2500 0.5000
Ge 0.3734 0.3734 0.0000
Ge 0.6266 0.6266 0.0000

Main lines, by angle (2θ from 5° to 70°):
| 2theta | intensity |
| --- | --- |
| 23.93 | 14 |
| 31.46 | 31 |
| 35.49 | 96 |
| 36.58 | 100 |
| 36.84 | 6 |
| 45.09 | 63 |
| 52.08 | 30 |
| 58.66 | 45 |
| 65.67 | 20 |
| 66.19 | 18 |

---

No. 4
LuNiGe: simulated powder X-ray diffraction pattern (Cu Kα (λ = 1.5418 Å)), based on the GGA-PBE geometry in the Materials Project.
Lines closer than 0.1° are merged.

Lattice parameters (Å, degrees): 6.7401 4.1746 7.2157 90.00 90.00 90.00
Element x y z (fractional)
Lu 0.0067 0.2500 0.2069
Lu 0.4933 0.7500 0.7069
Lu 0.5067 0.2500 0.2931
Lu 0.9933 0.7500 0.7931
Ni 0.1924 0.7500 0.4187
Ni 0.3076 0.2500 0.9187
Ni 0.6924 0.7500 0.0813
Ni 0.8076 0.2500 0.5813
Ge 0.1994 0.2500 0.5899
Ge 0.3006 0.7500 0.0899
Ge 0.6994 0.2500 0.9101
Ge 0.8006 0.7500 0.4101

Main lines, by angle (2θ from 5° to 70°):
| 2theta | intensity |
| --- | --- |
| 24.65 | 24 |
| 35.48 | 26 |
| 36.46 | 100 |
| 39.79 | 9 |
| 42.12 | 11 |
| 43.39 | 51 |
| 57.93 | 19 |
| 60.64 | 11 |
| 62.04 | 6 |
| 66.23 | 6 |

---

No. 5
LuNiGe: simulated powder X-ray diffraction pattern (Cu Kα (λ = 1.5418 Å)), based on the GGA-PBE geometry in the Materials Project.
Lines closer than 0.1° are merged.

Lattice parameters (Å, degrees): 11.1854 11.1854 9.1614 90.00 90.00 158.75
Element x y z (fractional)
Lu 0.0833 0.9167 0.5596
Lu 0.0833 0.9167 0.9404
Lu 0.2258 0.7742 0.7500
Lu 0.3850 0.6150 0.7500
Lu 0.6150 0.3850 0.2500
Lu 0.7742 0.2258 0.2500
Lu 0.9167 0.0833 0.0596
Lu 0.9167 0.0833 0.4404
Ni 0.3093 0.6907 0.0173
Ni 0.3093 0.6907 0.4827
Ni 0.4719 0.5281 0.2500
Ni 0.5000 0.5000 0.0000
Ni 0.5000 0.5000 0.5000
Ni 0.5281 0.4719 0.7500
Ni 0.6907 0.3093 0.5173
Ni 0.6907 0.3093 0.9827
Ge 0.0254 0.9746 0.2500
Ge 0.1996 0.8004 0.1028
Ge 0.1996 0.8004 0.3972
Ge 0.3636 0.6364 0.2500
Ge 0.6364 0.3636 0.7500
Ge 0.8004 0.1996 0.6028
Ge 0.8004 0.1996 0.8972
Ge 0.9746 0.0254 0.7500

Main lines, by angle (2θ from 5° to 70°):
| 2theta | intensity |
| --- | --- |
| 29.42 | 25 |
| 33.57 | 35 |
| 35.71 | 100 |
| 35.94 | 50 |
| 37.30 | 45 |
| 38.19 | 25 |
| 38.69 | 49 |
| 43.91 | 47 |
| 56.38 | 20 |
| 59.60 | 20 |

---

No. 6
Lu3Ni2Ge3: simulated powder X-ray diffraction pattern (Cu Kα (λ = 1.5418 Å)), based on the GGA-PBE geometry in the Materials Project.
Lines closer than 0.1° are merged.

Lattice parameters (Å, degrees): 5.4566 5.4566 13.8364 90.00 90.00 135.22
Element x y z (fractional)
Lu 0.0867 0.9133 0.6094
Lu 0.0867 0.9133 0.8906
Lu 0.3639 0.6361 0.7500
Lu 0.6361 0.3639 0.2500
Lu 0.9133 0.0867 0.1094
Lu 0.9133 0.0867 0.3906
Ni 0.2022 0.7978 0.1006
Ni 0.2022 0.7978 0.3994
Ni 0.7978 0.2022 0.6006
Ni 0.7978 0.2022 0.8994
Ge 0.3399 0.6601 0.2500
Ge 0.3776 0.6224 0.5384
Ge 0.3776 0.6224 0.9616
Ge 0.6224 0.3776 0.0384
Ge 0.6224 0.3776 0.4616
Ge 0.6601 0.3399 0.7500

Main lines, by angle (2θ from 5° to 70°):
| 2theta | intensity |
| --- | --- |
| 24.03 | 11 |
| 26.18 | 10 |
| 34.90 | 100 |
| 35.59 | 15 |
| 37.05 | 11 |
| 39.06 | 12 |
| 39.62 | 23 |
| 40.77 | 11 |
| 43.38 | 19 |
| 43.54 | 25 |

---

No. 7
Lu2GeO5: simulated powder X-ray diffraction pattern (Cu Kα (λ = 1.5418 Å)), based on the GGA-PBE geometry in the Materials Project.
Lines closer than 0.1° are merged.

Lattice parameters (Å, degrees): 6.2574 6.2574 7.3651 111.68 111.68 48.70
Element x y z (fractional)
Lu 0.1323 0.1472 0.2564
Lu 0.1472 0.1323 0.7564
Lu 0.8528 0.8677 0.2436
Lu 0.8677 0.8528 0.7436
Ge 0.5000 0.5000 0.0000
Ge 0.5000 0.5000 0.5000
O 0.1119 0.7417 0.0406
O 0.1884 0.4759 0.3623
O 0.2583 0.8881 0.4594
O 0.3298 0.6702 0.7500
O 0.4759 0.1884 0.8623
O 0.5241 0.8116 0.1377
O 0.6702 0.3298 0.2500
O 0.7417 0.1119 0.5406
O 0.8116 0.5241 0.6377
O 0.8881 0.2583 0.9594

Main lines, by angle (2θ from 5° to 70°):
| 2theta | intensity |
| --- | --- |
| 19.19 | 47 |
| 26.48 | 39 |
| 29.89 | 85 |
| 31.03 | 100 |
| 33.45 | 28 |
| 33.91 | 35 |
| 34.77 | 41 |
| 35.70 | 29 |
| 49.36 | 40 |
| 52.98 | 24 |

---

No. 8
Lu2Ge2O7: simulated powder X-ray diffraction pattern (Cu Kα (λ = 1.5418 Å)), based on the GGA-PBE geometry in the Materials Project.
Lines closer than 0.1° are merged.

Lattice parameters (Å, degrees): 6.7606 6.7606 12.2955 90.00 90.00 90.00
Element x y z (fractional)
Lu 0.1272 0.3566 0.1146
Lu 0.1434 0.6272 0.3646
Lu 0.3566 0.1272 0.8854
Lu 0.3728 0.8566 0.1354
Lu 0.6272 0.1434 0.6354
Lu 0.6434 0.8728 0.3854
Lu 0.8566 0.3728 0.8646
Lu 0.8728 0.6434 0.6146
Ge 0.1006 0.1486 0.6328
Ge 0.1486 0.1006 0.3672
Ge 0.3514 0.6006 0.8828
Ge 0.3994 0.6486 0.6172
Ge 0.6006 0.3514 0.1172
Ge 0.6486 0.3994 0.3828
Ge 0.8514 0.8994 0.8672
Ge 0.8994 0.8514 0.1328
O 0.0374 0.0806 0.8707
O 0.0667 0.6621 0.1798
O 0.0806 0.0374 0.1293
O 0.1424 0.3235 0.2935
O 0.1621 0.4333 0.9298
O 0.1765 0.6424 0.5435
O 0.1961 0.1961 0.5000
O 0.3039 0.6961 0.7500
O 0.3235 0.1424 0.7065
O 0.3379 0.9333 0.3202
O 0.3576 0.8235 0.9565
O 0.4194 0.5374 0.1207
O 0.4333 0.1621 0.0702
O 0.4626 0.5806 0.3793
O 0.5374 0.4194 0.8793
O 0.5667 0.8379 0.5702
O 0.5806 0.4626 0.6207
O 0.6424 0.1765 0.4565
O 0.6621 0.0667 0.8202
O 0.6765 0.8576 0.2065
O 0.6961 0.3039 0.2500
O 0.8039 0.8039 0.0000
O 0.8235 0.3576 0.0435
O 0.8379 0.5667 0.4298
O 0.8576 0.6765 0.7935
O 0.9194 0.9626 0.6293
O 0.9333 0.3379 0.6798
O 0.9626 0.9194 0.3707

Main lines, by angle (2θ from 5° to 70°):
| 2theta | intensity |
| --- | --- |
| 14.95 | 48 |
| 27.36 | 78 |
| 29.05 | 71 |
| 30.45 | 48 |
| 33.02 | 100 |
| 34.39 | 42 |
| 49.15 | 36 |
| 54.06 | 33 |
| 54.27 | 23 |
| 62.74 | 26 |

---

No. 9
LuGeO3: simulated powder X-ray diffraction pattern (Cu Kα (λ = 1.5418 Å)), based on the GGA-PBE geometry in the Materials Project.
Lines closer than 0.1° are merged.

Lattice parameters (Å, degrees): 3.8760 3.8760 3.8760 90.00 90.00 90.00
Element x y z (fractional)
Lu 0.0000 0.0000 0.0000
Ge 0.5000 0.5000 0.5000
O 0.0000 0.5000 0.5000
O 0.5000 0.0000 0.5000
O 0.5000 0.5000 0.0000

Main lines, by angle (2θ from 5° to 70°):
| 2theta | intensity |
| --- | --- |
| 22.94 | 14 |
| 32.67 | 100 |
| 40.30 | 15 |
| 46.88 | 29 |
| 52.81 | 7 |
| 58.31 | 39 |
| 68.47 | 18 |

---

No. 10
Lu2GeO5: simulated powder X-ray diffraction pattern (Cu Kα (λ = 1.5418 Å)), based on the GGA-PBE geometry in the Materials Project.
Lines closer than 0.1° are merged.

Lattice parameters (Å, degrees): 9.1804 6.8699 6.6345 90.00 101.79 90.00
Element x y z (fractional)
Lu 0.0292 0.1260 0.2272
Lu 0.0292 0.3740 0.7272
Lu 0.3537 0.1398 0.0122
Lu 0.3537 0.3602 0.5122
Lu 0.6463 0.6398 0.4878
Lu 0.6463 0.8602 0.9878
Lu 0.9708 0.6260 0.2728
Lu 0.9708 0.8740 0.7728
Ge 0.3015 0.5978 0.0104
Ge 0.3015 0.9022 0.5104
Ge 0.6985 0.0978 0.4896
Ge 0.6985 0.4022 0.9896
O 0.1055 0.6433 0.9884
O 0.1055 0.8567 0.4884
O 0.1071 0.1154 0.9198
O 0.1071 0.3846 0.4198
O 0.2788 0.0784 0.3023
O 0.2788 0.4216 0.8023
O 0.3804 0.0756 0.6948
O 0.3804 0.4244 0.1948
O 0.3978 0.6883 0.4879
O 0.3978 0.8117 0.9879
O 0.6022 0.1883 0.0121
O 0.6022 0.3117 0.5121
O 0.6196 0.5756 0.8052
O 0.6196 0.9244 0.3052
O 0.7212 0.5784 0.1977
O 0.7212 0.9216 0.6977
O 0.8929 0.6154 0.5802
O 0.8929 0.8846 0.0802
O 0.8945 0.1433 0.5116
O 0.8945 0.3567 0.0116

Main lines, by angle (2θ from 5° to 70°):
| 2theta | intensity |
| --- | --- |
| 16.24 | 30 |
| 27.23 | 34 |
| 29.42 | 30 |
| 29.83 | 64 |
| 30.49 | 32 |
| 31.14 | 34 |
| 32.00 | 100 |
| 34.02 | 51 |
| 49.01 | 37 |
| 57.53 | 22 |